# AcSn6Pd6
Theoretical XRD peak list, λ = 1.5418 Å (Cu Kα). Input: DFT lattice parameters and positions (PBE).
Neutral-atom scattering factors, no anomalous dispersion.

Principal peaks in the range 2θ from 5° to 70°, low angle first:
| d/Å | 2theta | I/Imax |
| --- | --- | --- |
| 2.906 | 30.76 | 73.9 |
| 2.516 | 35.69 | 59.5 |
| 2.451 | 36.67 | 100.0 |
| 2.281 | 39.51 | 27.1 |
| 2.203 | 40.96 | 60.7 |
| 1.574 | 58.64 | 25.4 |
| 1.453 | 64.10 | 42.2 |
| 1.347 | 69.81 | 29.6 |

Cell and atoms:
```
data_AcSn6Pd6
_chemical_formula_sum 'Ac1 Sn6 Pd6'
_space_group_name_H-M_alt 'P 1'
_space_group_IT_number 1
_cell_length_a 7.386
_cell_length_b 7.386
_cell_length_c 7.386
_cell_angle_alpha 133.65
_cell_angle_beta 103.72
_cell_angle_gamma 94.16
loop_
_space_group_symop_operation_xyz
'x,y,z'
loop_
_atom_site_label
_atom_site_type_symbol
_atom_site_fract_x
_atom_site_fract_y
_atom_site_fract_z
_atom_site_occupancy
Ac1 Ac 0.000 0.000 0.000 1
Sn1 Sn 0.177 0.677 0.500 1
Sn2 Sn 0.342 0.342 0.000 1
Sn3 Sn 0.346 0.000 0.346 1
Sn4 Sn 0.654 0.000 0.654 1
Sn5 Sn 0.658 0.658 0.000 1
Sn6 Sn 0.823 0.323 0.500 1
Pd1 Pd 0.000 0.000 0.500 1
Pd2 Pd 0.000 0.500 0.000 1
Pd3 Pd 0.246 0.500 0.746 1
Pd4 Pd 0.500 0.000 0.000 1
Pd5 Pd 0.500 0.500 0.500 1
Pd6 Pd 0.754 0.500 0.254 1
```